# CsPH4N2O2
Theoretical XRD peak list, Cu Kα. Input: the PBE geometry in the Materials Project.

Most intense lines, 2θ = 5–70°, in order of rising 2θ:
- d = 5.322 Å, I 55
- d = 4.000 Å, I 36
- d = 3.930 Å, I 99
- d = 3.876 Å, I 92
- d = 3.565 Å, I 100
- d = 3.179 Å, I 57
- d = 2.803 Å, I 31
- d = 2.783 Å, I 94
- d = 2.748 Å, I 50
- d = 2.530 Å, I 48
- d = 2.127 Å, I 47
- d = 2.103 Å, I 51

Atomic structure:
abc: 5.656 5.656 15.722
angles: 90.00 90.00 90.00
Fractional coordinates of all 40 atoms:
Cs (0.150, 0.150, 0.000)
Cs (0.350, 0.650, 0.750)
Cs (0.650, 0.350, 0.250)
Cs (0.850, 0.850, 0.500)
P (0.111, 0.889, 0.250)
P (0.389, 0.389, 0.500)
P (0.611, 0.611, 0.000)
P (0.889, 0.111, 0.750)
H (0.009, 0.367, 0.439)
H (0.133, 0.509, 0.189)
H (0.209, 0.213, 0.614)
H (0.213, 0.209, 0.386)
H (0.287, 0.709, 0.364)
H (0.291, 0.713, 0.136)
H (0.367, 0.009, 0.561)
H (0.491, 0.867, 0.311)
H (0.509, 0.133, 0.811)
H (0.633, 0.991, 0.061)
H (0.709, 0.287, 0.636)
H (0.713, 0.291, 0.864)
H (0.787, 0.791, 0.886)
H (0.791, 0.787, 0.114)
H (0.867, 0.491, 0.689)
H (0.991, 0.633, 0.939)
N (0.142, 0.684, 0.172)
N (0.184, 0.358, 0.422)
N (0.316, 0.858, 0.328)
N (0.358, 0.184, 0.578)
N (0.642, 0.816, 0.078)
N (0.684, 0.142, 0.828)
N (0.816, 0.642, 0.922)
N (0.858, 0.316, 0.672)
O (0.125, 0.155, 0.793)
O (0.155, 0.125, 0.207)
O (0.345, 0.625, 0.543)
O (0.375, 0.655, 0.957)
O (0.625, 0.345, 0.457)
O (0.655, 0.375, 0.043)
O (0.845, 0.875, 0.707)
O (0.875, 0.845, 0.293)


# Ce2Mg5Au
Theoretical XRD peak list, Cu Kα. Input: the PBE geometry in the Materials Project.

Most intense lines, 2θ = 5–70°, in order of rising 2θ:
- d = 8.390 Å, I 36
- d = 4.363 Å, I 30
- d = 3.622 Å, I 100
- d = 3.326 Å, I 17
- d = 2.565 Å, I 93
- d = 2.557 Å, I 93
- d = 2.089 Å, I 23
- d = 1.811 Å, I 33
- d = 1.622 Å, I 21
- d = 1.618 Å, I 21
- d = 1.482 Å, I 16
- d = 1.478 Å, I 50

Atomic structure:
abc: 8.895 8.895 8.895
angles: 33.42 33.42 33.42
Fractional coordinates of all 8 atoms:
Ce (0.248, 0.248, 0.248)
Ce (0.752, 0.752, 0.752)
Mg (0.121, 0.121, 0.121)
Mg (0.371, 0.371, 0.371)
Mg (0.500, 0.500, 0.500)
Mg (0.629, 0.629, 0.629)
Mg (0.879, 0.879, 0.879)
Au (0.000, 0.000, 0.000)


# SrCu2SnS4
Theoretical XRD peak list, Cu Kα. Input: the PBE geometry in the Materials Project.

Most intense lines, 2θ = 5–70°, in order of rising 2θ:
- d = 5.496 Å, I 9
- d = 5.188 Å, I 11
- d = 3.776 Å, I 13
- d = 3.177 Å, I 100
- d = 2.711 Å, I 15
- d = 2.429 Å, I 17
- d = 2.246 Å, I 22
- d = 1.929 Å, I 9
- d = 1.837 Å, I 17
- d = 1.833 Å, I 18
- d = 1.820 Å, I 12
- d = 1.729 Å, I 16

Atomic structure:
abc: 6.347 6.347 15.592
angles: 90.00 90.00 120.00
Fractional coordinates of all 24 atoms:
Sr (0.000, 0.562, 0.167)
Sr (0.438, 0.438, 0.500)
Sr (0.562, 0.000, 0.833)
Cu (0.073, 0.636, 0.412)
Cu (0.364, 0.437, 0.745)
Cu (0.437, 0.364, 0.255)
Cu (0.563, 0.927, 0.079)
Cu (0.636, 0.073, 0.588)
Cu (0.927, 0.563, 0.921)
Sn (0.000, 0.705, 0.667)
Sn (0.295, 0.295, 0.000)
Sn (0.705, 0.000, 0.333)
S (0.045, 0.486, 0.787)
S (0.117, 0.353, 0.329)
S (0.236, 0.883, 0.995)
S (0.353, 0.117, 0.671)
S (0.441, 0.955, 0.454)
S (0.486, 0.045, 0.213)
S (0.514, 0.559, 0.121)
S (0.559, 0.514, 0.879)
S (0.647, 0.764, 0.662)
S (0.764, 0.647, 0.338)
S (0.883, 0.236, 0.005)
S (0.955, 0.441, 0.546)